Diffraction record for Tc2Rh2Pb. The XRD peak list is theoretical, not measured: it uses a crystal structure in Alexandria, relaxed with PBE and CuKα.

Cell and atoms:
```
data_Tc2Rh2Pb
_chemical_formula_sum 'Tc4 Rh4 Pb2'
_cell_length_a 3.580
_cell_length_b 3.580
_cell_length_c 13.552
_cell_angle_alpha 90.00
_cell_angle_beta 90.00
_cell_angle_gamma 90.00
_space_group_name_H-M_alt 'P 1'
_space_group_IT_number 1
_space_group_name_Hall 'P 1'
loop_
_atom_site_label
_atom_site_type_symbol
_atom_site_fract_x
_atom_site_fract_y
_atom_site_fract_z
_atom_site_occupancy
Tc1 Tc 0.000 0.500 0.250 1
Tc2 Tc 0.000 0.500 0.750 1
Tc3 Tc 0.500 0.000 0.250 1
Tc4 Tc 0.500 0.000 0.750 1
Rh1 Rh 0.000 0.000 0.103 1
Rh2 Rh 0.000 0.000 0.897 1
Rh3 Rh 0.500 0.500 0.397 1
Rh4 Rh 0.500 0.500 0.603 1
Pb1 Pb 0.000 0.000 0.500 1
Pb2 Pb 0.500 0.500 0.000 1
```

Peak list (10 most intense, 2θ from 15° to 90°, in order of rising 2θ)
d (Å)  2θ/deg  I_rel  (hkl)
3.388  26.3  153  0 0 4
2.806  31.9  594  1 0 3
2.371  37.9  1000  1 1 2
2.161  41.8  614  1 0 5
1.790  51.0  378  2 0 0
1.509  61.4  186  2 1 3
1.378  68.0  291  2 1 5
1.230  77.6  146  2 0 8
1.195  80.4  196  1 1 10
1.117  87.3  189  3 1 2